1.
For Ba2NdZrO5, a cell relaxed with GGA-PBE gives the computed X-ray diffraction stick pattern in this record (Cu Kα, 1.54184 Å).
Kinematic intensities with the Lorentz-polarization factor, no thermal factor.

Crystal structure
abc: 7.750 6.234 7.773
angles: 90.00 112.84 90.00
Atoms (fractional coordinates):
Ba 0.149 0.000 0.341
Ba 0.347 0.499 0.143
Ba 0.653 0.999 0.857
Ba 0.851 0.500 0.659
Nd 0.130 0.014 0.866
Nd 0.870 0.514 0.134
Zr 0.345 0.533 0.650
Zr 0.655 0.033 0.350
O 0.019 0.734 0.984
O 0.171 0.521 0.375
O 0.215 0.353 0.773
O 0.289 0.836 0.700
O 0.383 0.027 0.160
O 0.617 0.527 0.840
O 0.711 0.336 0.300
O 0.785 0.853 0.227
O 0.829 0.021 0.625
O 0.981 0.234 0.016

Main lines, in order of falling intensity (2θ = 5–70°):
d (Å)	Rel. int.
3.102	100
3.117	32
3.233	25
2.244	23
1.797	22
2.147	15
1.768	12
2.870	10
3.577	9
7.154	7


2.
For Gd2PtAu, a cell relaxed with GGA-PBE gives the computed X-ray diffraction stick pattern in this record (Cu Kα, 1.54184 Å).
Kinematic intensities with the Lorentz-polarization factor, no thermal factor.

Crystal structure
abc: 5.643 4.594 7.212
angles: 90.00 90.83 90.00
Atoms (fractional coordinates):
Gd 0.141 0.250 0.303
Gd 0.353 0.250 0.828
Gd 0.647 0.750 0.172
Gd 0.859 0.750 0.697
Pt 0.160 0.750 0.044
Pt 0.840 0.250 0.956
Au 0.347 0.750 0.541
Au 0.653 0.250 0.459

Main lines, in order of falling intensity (2θ = 5–70°):
d (Å)	Rel. int.
2.836	100
2.546	88
2.297	76
2.523	73
2.289	70
2.272	62
1.725	40
2.615	34
2.641	28
1.410	22


3.
For AlFeBr6, a cell relaxed with GGA-PBE gives the computed X-ray diffraction stick pattern in this record (Cu Kα, 1.54184 Å).
Kinematic intensities with the Lorentz-polarization factor, no thermal factor.

Crystal structure
abc: 6.961 6.961 6.961
angles: 60.00 60.00 60.00
Atoms (fractional coordinates):
Al 0.000 0.000 0.000
Fe 0.250 0.250 0.250
Br 0.006 0.006 0.494
Br 0.006 0.494 0.006
Br 0.006 0.494 0.494
Br 0.494 0.006 0.006
Br 0.494 0.006 0.494
Br 0.494 0.494 0.006

Main lines, in order of falling intensity (2θ = 5–70°):
d (Å)	Rel. int.
2.842	100
2.461	79
4.922	56
1.740	53
1.484	40
2.201	26
5.684	19
1.421	18
1.641	12
3.480	7


4.
For ZrSiN2O, a cell relaxed with GGA-PBE gives the computed X-ray diffraction stick pattern in this record (Cu Kα, 1.54184 Å).
Kinematic intensities with the Lorentz-polarization factor, no thermal factor.

Crystal structure
abc: 3.312 3.410 4.545
angles: 90.00 90.00 90.00
Atoms (fractional coordinates):
Zr 0.000 0.000 0.000
Si 0.500 0.500 0.553
N 0.500 0.000 0.678
N 0.500 0.500 0.173
O 0.000 0.500 0.693

Main lines, in order of falling intensity (2θ = 5–70°):
d (Å)	Rel. int.
2.728	100
2.677	96
4.545	61
2.376	58
2.106	55
1.642	52
1.438	27
1.416	26
2.273	23
1.705	23


5.
For Pr2Nd2CIBr2Cl2, a cell relaxed with GGA-PBE gives the computed X-ray diffraction stick pattern in this record (Cu Kα, 1.54184 Å).
Kinematic intensities with the Lorentz-polarization factor, no thermal factor.

Crystal structure
abc: 9.393 9.393 8.862
angles: 103.77 103.77 24.66
Atoms (fractional coordinates):
Pr 0.000 0.000 0.197
Pr 0.000 0.000 0.803
Nd 0.359 0.359 0.923
Nd 0.641 0.641 0.077
C 0.500 0.500 0.000
I 0.500 0.500 0.500
Br 0.172 0.172 0.846
Br 0.828 0.828 0.154
Cl 0.161 0.161 0.308
Cl 0.839 0.839 0.692

Main lines, in order of falling intensity (2θ = 5–70°):
d (Å)	Rel. int.
2.971	100
8.595	42
2.100	33
8.900	28
2.371	18
2.686	14
2.006	11
3.252	10
1.662	9
2.216	8


6.
For Lu4ZnNiN2, a cell relaxed with GGA-PBE gives the computed X-ray diffraction stick pattern in this record (Cu Kα, 1.54184 Å).
Kinematic intensities with the Lorentz-polarization factor, no thermal factor.

Crystal structure
abc: 3.367 3.367 14.005
angles: 90.00 90.00 120.00
Atoms (fractional coordinates):
Lu 0.000 0.000 0.139
Lu 0.000 0.000 0.861
Lu 0.333 0.667 0.332
Lu 0.333 0.667 0.668
Zn 0.000 0.000 0.500
Ni 0.333 0.667 0.000
N 0.667 0.333 0.242
N 0.667 0.333 0.758

Main lines, in order of falling intensity (2θ = 5–70°):
d (Å)	Rel. int.
2.473	100
2.916	25
1.684	25
1.392	16
2.855	16
1.365	13
1.822	12
2.334	12
2.241	10
3.501	9